1.
MgH4Pd3: theoretical X-ray diffraction stick pattern (Cu Kα (weighted mean of Kα1 and Kα2)), based on DFT lattice parameters and positions (PBE).
Intensities are scaled so that the largest is 100.

Peak list (10 most intense, 2θ = 10–90°, by angle)
2θ/deg  d_spacing  Rel. int.
19.1  4.657  27.2
35.5  2.527  100.0
35.7  2.518  99.1
35.8  2.509  96.8
38.3  2.353  81.4
38.7  2.328  76.3
43.6  2.078  57.5
44.2  2.051  52.4
57.8  1.595  24.1
58.5  1.578  23.3

Atomic structure:
```
MgH4Pd3
1.0
4.1125 0.0000 0.0000
-0.2127 4.1613 0.0000
-0.2170 -0.2577 4.6570
Mg H Pd
1 4 3
direct
0.0000 0.0000 0.0000
0.2674 0.7020 0.2657
0.3018 0.7312 0.7341
0.6982 0.2688 0.2659
0.7326 0.2980 0.7343
0.0000 0.5000 0.5000
0.5000 0.0000 0.5000
0.5000 0.5000 0.0000
```

2.
CeDy4TlS8: theoretical X-ray diffraction stick pattern (Cu Kα (weighted mean of Kα1 and Kα2)), based on DFT lattice parameters and positions (PBE).
Intensities are scaled so that the largest is 100.

Peak list (10 most intense, 2θ = 10–90°, by angle)
2θ/deg  d_spacing  Rel. int.
21.3  4.170  37.2
21.7  4.096  28.3
25.0  3.565  46.9
25.3  3.518  100.0
25.5  3.496  53.3
30.6  2.922  26.9
40.1  2.248  33.9
40.3  2.236  30.6
43.4  2.085  55.7
44.2  2.048  53.8

Atomic structure:
```
CeDy4TlS8
1.0
4.0960 2.3648 6.8719
-4.0960 2.3648 6.8719
0.0000 -4.7296 6.8719
Ce Dy Tl S
1 4 1 8
direct
0.0000 0.0000 0.0000
0.9997 0.9997 0.5148
0.9997 0.5148 0.9997
0.3776 0.3776 0.3776
0.5148 0.9997 0.9997
0.6313 0.6313 0.6313
0.2051 0.7652 0.7652
0.2462 0.2462 0.2462
0.2514 0.2514 0.7729
0.2514 0.7729 0.2514
0.7652 0.2051 0.7652
0.7652 0.7652 0.2051
0.7712 0.7712 0.7712
0.7729 0.2514 0.2514
```